Diffraction record for Mg14CrMo. The powder diffraction line list is computed, not measured: it uses a cell relaxed with PBE and Cu Kα (weighted mean of Kα1 and Kα2).
Intensities are scaled so that the largest is 100.

Main lines, in order of falling intensity (10 to 90 degrees two-theta):
- 2θ = 37.76°, d 2.382, intensity 100
- 2θ = 33.01°, d 2.714, intensity 27
- 2θ = 36.13°, d 2.486, intensity 25
- 2θ = 16.33°, d 5.428, intensity 24
- 2θ = 71.12°, d 1.326, intensity 18
- 2θ = 66.05°, d 1.415, intensity 18
- 2θ = 58.95°, d 1.567, intensity 17
- 2θ = 49.74°, d 1.833, intensity 16
- 2θ = 24.28°, d 3.666, intensity 14
- 2θ = 72.16°, d 1.309, intensity 13
- 2θ = 33.81°, d 2.651, intensity 7
- 2θ = 47.97°, d 1.896, intensity 6

Structural model:
Cell lengths 6.267, 6.267, 9.945 Å; angles 90.00, 90.00, 120.00 degrees
Sites, in units of the cell vectors:
Mg1 0.000 0.000 0.250
Mg2 0.000 0.000 0.750
Mg3 0.013 0.506 0.246
Mg4 0.013 0.506 0.754
Mg5 0.334 0.167 0.500
Mg6 0.335 0.168 0.000
Mg7 0.494 0.506 0.246
Mg8 0.494 0.506 0.754
Mg9 0.494 0.987 0.246
Mg10 0.494 0.987 0.754
Mg11 0.832 0.168 0.000
Mg12 0.832 0.665 0.000
Mg13 0.833 0.167 0.500
Mg14 0.833 0.666 0.500
Cr1 0.333 0.667 0.500
Mo1 0.333 0.667 0.000